1.
For Er3Tm2Sn2, a crystal structure in Alexandria, relaxed with PBE gives the calculated PXRD pattern in this record (Cu Kα X-rays).
Peak positions follow from Bragg's law for the DFT cell and can differ from measured ones.

Atomic structure:
```
data_Er3Tm2Sn2
_chemical_formula_sum 'Er6 Tm4 Sn4'
_symmetry_space_group_name_H-M 'C 1 2/m 1'
_symmetry_Int_Tables_number 12
_symmetry_space_group_name_Hall '-C 2y'
_cell_length_a 16.398
_cell_length_b 3.451
_cell_length_c 7.821
_cell_angle_alpha 90.00
_cell_angle_beta 115.58
_cell_angle_gamma 90.00
loop_
_atom_site_label
_atom_site_fract_x
_atom_site_fract_y
_atom_site_fract_z
_atom_site_occupancy
Er1 0.000 0.000 0.000 1
Er2 0.214 0.000 0.145 1
Tm1 0.124 0.000 0.471 1
Sn1 0.076 0.500 0.761 1
```

The 12 most intense peaks (2θ = 15–90°), sorted by position:
2theta, d_spacing, I (rel.)
26.3, 3.384, 24
28.3, 3.157, 34
30.6, 2.925, 41
31.8, 2.814, 100
34.2, 2.621, 51
34.7, 2.587, 50
35.0, 2.562, 97
37.8, 2.377, 81
53.1, 1.726, 25
58.2, 1.586, 35
63.2, 1.471, 28
66.3, 1.410, 25

---

2.
For Nd2Cu4Se5, a crystal structure in Alexandria, relaxed with PBE gives the calculated PXRD pattern in this record (Cu Kα X-rays).
Peak positions follow from Bragg's law for the DFT cell and can differ from measured ones.

Atomic structure:
```
data_Nd2Cu4Se5
_chemical_formula_sum 'Nd6 Cu12 Se15'
_symmetry_space_group_name_H-M 'R -3 m'
_symmetry_Int_Tables_number 166
_symmetry_space_group_name_Hall '-R 3 2"'
_cell_length_a 4.0691
_cell_length_b 4.0691
_cell_length_c 50.6546
_cell_angle_alpha 90.00
_cell_angle_beta 90.00
_cell_angle_gamma 120.00
loop_
_atom_site_label
_atom_site_fract_x
_atom_site_fract_y
_atom_site_fract_z
_atom_site_occupancy
Nd1 0.0000 0.0000 0.1308 1
Cu1 0.0000 0.0000 0.3141 1
Cu2 0.0000 0.0000 0.4132 1
Se1 0.0000 0.0000 0.2389 1
Se2 0.0000 0.0000 0.3653 1
Se3 0.0000 0.0000 0.5000 1
```

The 12 most intense peaks (2θ = 15–90°), sorted by position:
2theta, d_spacing, I (rel.)
26.3, 3.395, 39
29.0, 3.079, 70
31.8, 2.814, 23
32.0, 2.799, 87
38.2, 2.355, 44
44.5, 2.035, 100
47.2, 1.928, 40
55.8, 1.649, 26
55.9, 1.646, 17
74.1, 1.279, 14
82.0, 1.175, 16
83.9, 1.153, 15

---

3.
For Sm6Y2Ho, a crystal structure in Alexandria, relaxed with PBE gives the calculated PXRD pattern in this record (Cu Kα X-rays).
Peak positions follow from Bragg's law for the DFT cell and can differ from measured ones.

Atomic structure:
```
data_Sm6Y2Ho
_chemical_formula_sum 'Sm12 Y4 Ho2'
_symmetry_space_group_name_H-M 'I m m m'
_symmetry_Int_Tables_number 71
_symmetry_space_group_name_Hall '-I 2 2'
_cell_length_a 5.661
_cell_length_b 7.013
_cell_length_c 15.434
_cell_angle_alpha 90.00
_cell_angle_beta 90.00
_cell_angle_gamma 90.00
loop_
_atom_site_label
_atom_site_fract_x
_atom_site_fract_y
_atom_site_fract_z
_atom_site_occupancy
Sm1 0.000 0.000 0.213 1
Sm2 0.000 0.270 0.389 1
Y1 0.000 0.500 0.138 1
Ho1 0.000 0.000 0.000 1
```

The 12 most intense peaks (2θ = 15–90°), sorted by position:
2theta, d_spacing, I (rel.)
23.1, 3.858, 13
30.5, 2.927, 100
30.8, 2.902, 52
31.6, 2.829, 69
33.1, 2.710, 56
34.6, 2.594, 32
34.8, 2.579, 26
47.5, 1.913, 24
55.6, 1.652, 19
62.3, 1.490, 14
62.5, 1.486, 21
63.2, 1.472, 15

---

4.
For Y2UPaN6, a crystal structure in Alexandria, relaxed with PBE gives the calculated PXRD pattern in this record (Cu Kα X-rays).
Peak positions follow from Bragg's law for the DFT cell and can differ from measured ones.

Atomic structure:
```
data_Y2UPaN6
_chemical_formula_sum 'Y6 U3 Pa3 N18'
_symmetry_space_group_name_H-M 'R 3'
_symmetry_Int_Tables_number 146
_symmetry_space_group_name_Hall 'R 3'
_cell_length_a 5.9111
_cell_length_b 5.9111
_cell_length_c 14.8291
_cell_angle_alpha 90.00
_cell_angle_beta 90.00
_cell_angle_gamma 120.00
loop_
_atom_site_label
_atom_site_fract_x
_atom_site_fract_y
_atom_site_fract_z
_atom_site_occupancy
Y1 0.0000 0.0000 0.0000 1
Y2 0.0000 0.0000 0.4982 1
U1 0.0000 0.0000 0.7208 1
Pa1 0.0000 0.0000 0.2239 1
N1 0.0627 0.3527 0.7903 1
N2 0.0677 0.6988 0.2931 1
```

The 12 most intense peaks (2θ = 15–90°), sorted by position:
2theta, d_spacing, I (rel.)
21.1, 4.213, 59
29.8, 3.003, 100
30.2, 2.956, 99
42.9, 2.106, 43
48.0, 1.896, 28
48.6, 1.872, 13
52.5, 1.743, 17
53.4, 1.715, 43
53.7, 1.706, 26
62.9, 1.478, 14
70.3, 1.339, 14
71.1, 1.326, 17

---

5.
For Na5B6C4, a crystal structure in Alexandria, relaxed with PBE gives the calculated PXRD pattern in this record (Cu Kα X-rays).
Peak positions follow from Bragg's law for the DFT cell and can differ from measured ones.

Atomic structure:
```
data_Na5B6C4
_chemical_formula_sum 'Na10 B12 C8'
_symmetry_space_group_name_H-M 'P -3 m 1'
_symmetry_Int_Tables_number 164
_symmetry_space_group_name_Hall '-P 3 2"'
_cell_length_a 2.8553
_cell_length_b 2.8553
_cell_length_c 42.3783
_cell_angle_alpha 90.00
_cell_angle_beta 90.00
_cell_angle_gamma 120.00
loop_
_atom_site_label
_atom_site_fract_x
_atom_site_fract_y
_atom_site_fract_z
_atom_site_occupancy
Na1 0.0000 0.0000 0.0000 1
Na2 0.0000 0.0000 0.0991 1
Na3 0.0000 0.0000 0.1983 1
Na4 0.0000 0.0000 0.2975 1
Na5 0.0000 0.0000 0.3971 1
Na6 0.0000 0.0000 0.5000 1
B1 0.3333 0.6667 0.1487 1
B2 0.3333 0.6667 0.3470 1
B3 0.3333 0.6667 0.4483 1
B4 0.3333 0.6667 0.5517 1
B5 0.3333 0.6667 0.7522 1
B6 0.3333 0.6667 0.9504 1
C1 0.3333 0.6667 0.0495 1
C2 0.3333 0.6667 0.2478 1
C3 0.3333 0.6667 0.6531 1
C4 0.3333 0.6667 0.8513 1
```

The 12 most intense peaks (2θ = 15–90°), sorted by position:
2theta, d_spacing, I (rel.)
36.3, 2.473, 18
42.3, 2.136, 100
42.7, 2.119, 24
43.5, 2.081, 1
57.3, 1.609, 9
65.4, 1.428, 18
69.5, 1.353, 1
77.1, 1.236, 2
77.9, 1.227, 11
80.2, 1.196, 1
81.0, 1.187, 11
81.3, 1.184, 16